Record 1
Li10Mn2Fe3Ni3O16: simulated X-ray diffraction stick pattern (λ = 1.5418 Å (Cu Kα)), based on a crystal structure in Alexandria, relaxed with PBE+U.
Neutral-atom scattering factors, no anomalous dispersion.

Principal peaks in the range 5 to 70 degrees two-theta, low angle first:
| 2theta | Rel. int. |
| --- | --- |
| 18.1 | 100 |
| 19.3 | 92 |
| 19.5 | 55 |
| 35.0 | 79 |
| 35.7 | 69 |
| 35.9 | 60 |
| 44.3 | 98 |
| 44.9 | 67 |
| 50.9 | 33 |
| 62.5 | 57 |

Structure:
```
Li10Mn2Fe3Ni3O16
1.0
5.1317 -3.0081 0.0000
5.1317 3.0081 0.0000
-0.2448 0.0000 9.7957
Li Mn Fe Ni O
10 2 3 3 16
Cartesian
0.0000 0.0000 0.0000
-0.0419 0.0000 4.9469
4.0882 1.2411 0.6037
1.9856 0.0000 0.6847
3.4898 0.0000 2.8591
5.9213 1.1740 5.6059
4.0882 -1.2411 0.6037
6.6474 0.0000 7.7472
5.9213 -1.1740 5.6059
8.1415 0.0000 5.6657
3.3063 0.0000 5.3639
6.8645 0.0000 0.4441
1.5547 0.0000 7.8208
5.9992 1.4827 2.9574
5.9992 -1.4827 2.9574
4.0358 1.4723 7.8753
4.0358 -1.4723 7.8753
8.5545 0.0000 2.9729
2.3590 1.4300 6.6436
0.0837 0.0000 1.8732
1.7374 0.0000 4.1091
4.3335 1.4939 4.1317
3.1400 0.0000 9.0319
5.7942 1.4633 9.1281
4.7888 0.0000 6.5994
2.3590 -1.4300 6.6436
5.2557 0.0000 1.6912
7.6114 1.3774 1.6890
6.7856 0.0000 4.1124
4.3335 -1.4939 4.1317
8.2520 0.0000 9.1767
5.7942 -1.4633 9.1281
7.6114 -1.3774 1.6890
10.0723 0.0000 6.8282
```

Record 2
Li4Mn2Fe3Ni3O16: simulated X-ray diffraction stick pattern (λ = 1.5418 Å (Cu Kα)), based on a crystal structure in Alexandria, relaxed with PBE+U.
Neutral-atom scattering factors, no anomalous dispersion.

Principal peaks in the range 5 to 70 degrees two-theta, low angle first:
| 2theta | Rel. int. |
| --- | --- |
| 19.0 | 100 |
| 19.7 | 30 |
| 20.0 | 53 |
| 20.3 | 73 |
| 37.1 | 29 |
| 37.4 | 29 |
| 41.3 | 29 |
| 46.1 | 35 |
| 47.0 | 31 |
| 64.1 | 40 |

Structure:
```
Li4Mn2Fe3Ni3O16
1.0
5.0514 -2.8734 0.0000
5.0514 2.8734 0.0000
-0.3581 0.0000 9.3640
Li Mn Fe Ni O
4 2 3 3 16
Cartesian
0.0000 0.0000 0.0000
-0.1364 0.0000 4.7076
3.2414 0.0000 5.5803
6.7356 0.0000 0.8916
3.3630 0.0000 0.0784
6.5456 0.0000 4.7836
4.1031 1.4159 2.6332
4.1031 -1.4159 2.6332
8.1362 0.0000 7.2968
1.6374 0.0000 2.6523
5.6740 1.4190 7.3356
5.6740 -1.4190 7.3356
-0.2352 0.0000 6.4975
2.6691 1.3034 1.3927
3.8517 1.4382 8.3883
1.3393 0.0000 8.4623
5.7093 1.4157 3.7400
3.3507 0.0000 3.6348
4.8250 0.0000 1.4605
2.6691 -1.3034 1.3927
5.1014 0.0000 6.1017
7.3569 1.2483 6.0590
3.8517 -1.4382 8.3883
6.4956 0.0000 8.2634
5.7093 -1.4157 3.7400
8.3217 0.0000 3.6591
7.3569 -1.2483 6.0590
9.9934 0.0000 1.7678
```